No. 1
For BaPr3Ni2O8, a structure optimized by DFT (GGA+U) gives the theoretical powder X-ray diffraction pattern in this record (copper Kα).
Intensities are scaled so that the largest is 1000.

Structure:
a b c (Å): 5.4879 5.4403 12.8117
angles (deg): 90.00 90.00 90.00
Space group Amm2 (No. 38)
Inequivalent atoms, fractional coordinates:
Ba 0.0000 0.0000 0.0000 [2 per cell]
Pr 0.0000 0.0000 0.7204 [2 per cell]
Pr 0.5000 0.0000 0.2171 [2 per cell]
Pr 0.5000 0.0000 0.4929 [2 per cell]
Ni 0.0000 0.0000 0.3559 [2 per cell]
Ni 0.5000 0.0000 0.8584 [2 per cell]
O 0.0000 0.0000 0.1973 [2 per cell]
O 0.0000 0.0000 0.5352 [2 per cell]
O 0.2632 0.2465 0.3491 [8 per cell]
O 0.5000 0.0000 0.0311 [2 per cell]
O 0.5000 0.0000 0.6760 [2 per cell]

Principal peaks in the range 10° ≤ 2θ ≤ 90°, most intense first:
(1 1 3), 2θ 31.2, intensity 1000
(2 0 0), 2θ 32.6, intensity 356
(2 2 0), 2θ 47.0, intensity 348
(0 2 0), 2θ 32.9, intensity 346
(0 0 6), 2θ 42.3, intensity 290
(1 1 1), 2θ 24.1, intensity 243
(1 1 7), 2θ 55.6, intensity 194
(3 1 3), 2θ 57.4, intensity 184



No. 2
For BaPr2NiO5, a structure optimized by DFT (GGA+U) gives the theoretical powder X-ray diffraction pattern in this record (copper Kα).
Intensities are scaled so that the largest is 1000.

Structure:
a b c (Å): 3.8790 6.0260 11.8901
angles (deg): 90.00 90.00 90.00
Space group Immm (No. 71)
Inequivalent atoms, fractional coordinates:
Ba 0.0000 0.0000 0.0000 [2 per cell]
Pr 0.0000 0.5000 0.2026 [4 per cell]
Ni 0.0000 0.0000 0.5000 [2 per cell]
O 0.0000 0.2418 0.3560 [8 per cell]
O 0.0000 0.5000 0.0000 [2 per cell]

Principal peaks in the range 10° ≤ 2θ ≤ 90°, most intense first:
(1 1 2), 2θ 31.3, intensity 1000
(0 1 3), 2θ 26.9, intensity 318
(0 2 0), 2θ 29.6, intensity 309
(1 3 2), 2θ 53.6, intensity 221
(0 2 4), 2θ 42.7, intensity 171
(1 0 5), 2θ 44.7, intensity 154
(1 2 5), 2θ 54.6, intensity 151
(2 0 0), 2θ 46.8, intensity 146



No. 3
For BaSrPrNiO6, a structure optimized by DFT (GGA+U) gives the theoretical powder X-ray diffraction pattern in this record (copper Kα).
Intensities are scaled so that the largest is 1000.

Structure:
a b c (Å): 8.3701 8.3701 8.3701
angles (deg): 90.00 90.00 90.00
Space group F-43m (No. 216)
Inequivalent atoms, fractional coordinates:
Ba 0.0000 0.0000 0.0000 [4 per cell]
Sr 0.0000 0.0000 0.5000 [4 per cell]
Pr 0.2500 0.2500 0.2500 [4 per cell]
Ni 0.2500 0.2500 0.7500 [4 per cell]
O 0.0257 0.2500 0.7500 [24 per cell]

Principal peaks in the range 10° ≤ 2θ ≤ 90°, most intense first:
(2 2 0), 2θ 30.2, intensity 1000
(4 2 2), 2θ 53.6, intensity 389
(4 0 0), 2θ 43.2, intensity 312
(6 4 2), 2θ 87.1, intensity 213
(4 4 0), 2θ 62.8, intensity 188
(6 2 0), 2θ 71.3, intensity 181
(1 1 1), 2θ 18.4, intensity 74
(3 1 1), 2θ 35.6, intensity 69



No. 4
For Ba4Re2NiO12, a structure optimized by DFT (GGA+U) gives the theoretical powder X-ray diffraction pattern in this record (copper Kα).
Intensities are scaled so that the largest is 1000.

Structure:
a b c (Å): 5.8465 5.8465 28.5903
angles (deg): 90.00 90.00 120.00
Space group R3m (No. 160, hexagonal axes)
Inequivalent atoms, fractional coordinates:
Ba 0.0000 0.0000 0.0000 [3 per cell]
Ba 0.0000 0.0000 0.1590 [3 per cell]
Ba 0.0000 0.0000 0.4116 [3 per cell]
Ba 0.0000 0.0000 0.5728 [3 per cell]
Re 0.0000 0.0000 0.2863 [3 per cell]
Re 0.0000 0.0000 0.7937 [3 per cell]
Ni 0.0000 0.0000 0.6970 [3 per cell]
O 0.0202 0.5101 0.9942 [9 per cell]
O 0.0325 0.5162 0.4157 [9 per cell]
O 0.1759 0.3519 0.4926 [9 per cell]
O 0.1812 0.3624 0.9175 [9 per cell]

Principal peaks in the range 10° ≤ 2θ ≤ 90°, most intense first:
(1 1 0), 2θ 30.6, intensity 1000
(1 0 7), 2θ 28.1, intensity 279
(3 0 0), 2θ 54.4, intensity 273
(1 0 10), 2θ 36.1, intensity 248
(0 0 6), 2θ 18.6, intensity 221
(0 2 10), 2θ 48.0, intensity 208
(0 2 7), 2θ 42.0, intensity 199
(2 0 14), 2θ 58.0, intensity 192



No. 5
For Ba2NiRuO6, a structure optimized by DFT (GGA+U) gives the theoretical powder X-ray diffraction pattern in this record (copper Kα).
Intensities are scaled so that the largest is 1000.

Structure:
a b c (Å): 5.7827 5.7827 19.2976
angles (deg): 90.00 90.00 120.00
Space group P6_3/mmc (No. 194)
Inequivalent atoms, fractional coordinates:
Ba 0.0000 0.0000 0.0000 [2 per cell]
Ba 0.3333 0.6667 0.1182 [4 per cell]
Ba 0.3333 0.6667 0.7500 [2 per cell]
Ni 0.3333 0.6667 0.5561 [4 per cell]
Ru 0.0000 0.0000 0.1775 [4 per cell]
O 0.0000 0.5000 0.0000 [6 per cell]
O 0.1507 0.3015 0.2500 [6 per cell]
O 0.1668 0.3337 0.6282 [12 per cell]

Principal peaks in the range 10° ≤ 2θ ≤ 90°, most intense first:
(1 1 0), 2θ 30.9, intensity 1000
(1 0 6), 2θ 33.1, intensity 474
(1 0 5), 2θ 29.2, intensity 360
(2 0 6), 2θ 45.9, intensity 276
(2 0 5), 2θ 43.1, intensity 254
(2 1 6), 2θ 56.4, intensity 220
(3 0 0), 2θ 55.0, intensity 195
(2 2 0), 2θ 64.5, intensity 190



No. 6
For Ba3NiRu2O9, a structure optimized by DFT (GGA+U) gives the theoretical powder X-ray diffraction pattern in this record (copper Kα).
Intensities are scaled so that the largest is 1000.

Structure:
a b c (Å): 5.8336 5.8336 14.3539
angles (deg): 90.00 90.00 120.00
Space group P6_3/mmc (No. 194)
Inequivalent atoms, fractional coordinates:
Ba 0.0000 0.0000 0.2500 [2 per cell]
Ba 0.3333 0.6667 0.0892 [4 per cell]
Ni 0.0000 0.0000 0.0000 [2 per cell]
Ru 0.3333 0.6667 0.6537 [4 per cell]
O 0.0311 0.5155 0.7500 [6 per cell]
O 0.1704 0.3408 0.5830 [12 per cell]

Principal peaks in the range 10° ≤ 2θ ≤ 90°, most intense first:
(1 1 0), 2θ 30.6, intensity 1000
(3 0 0), 2θ 54.5, intensity 265
(2 0 4), 2θ 43.8, intensity 220
(1 0 3), 2θ 25.6, intensity 129
(2 0 5), 2θ 47.9, intensity 127
(2 2 0), 2θ 63.8, intensity 119
(1 0 5), 2θ 36.0, intensity 115
(2 0 3), 2θ 40.4, intensity 110



No. 7
For Ba3NiSbRuO9, a structure optimized by DFT (GGA+U) gives the theoretical powder X-ray diffraction pattern in this record (copper Kα).
Intensities are scaled so that the largest is 1000.

Structure:
a b c (Å): 5.8858 5.8858 14.5426
angles (deg): 90.00 90.00 120.00
Space group P-3m1 (No. 164)
Inequivalent atoms, fractional coordinates:
Ba 0.0000 0.0000 0.2493 [2 per cell]
Ba 0.3333 0.6667 0.0856 [2 per cell]
Ba 0.3333 0.6667 0.4095 [2 per cell]
Ni 0.0000 0.0000 0.0000 [1 per cell]
Ni 0.0000 0.0000 0.5000 [1 per cell]
Sb 0.3333 0.6667 0.8436 [2 per cell]
Ru 0.3333 0.6667 0.6493 [2 per cell]
O 0.0347 0.5174 0.7469 [6 per cell]
O 0.1706 0.3413 0.9133 [6 per cell]
O 0.1710 0.3420 0.5807 [6 per cell]

Principal peaks in the range 10° ≤ 2θ ≤ 90°, most intense first:
(1 1 0), 2θ 30.4, intensity 1000
(0 1 4), 2θ 30.2, intensity 575
(2 0 4), 2θ 43.4, intensity 340
(1 2 4), 2θ 53.9, intensity 221
(1 0 5), 2θ 35.5, intensity 209
(3 0 0), 2θ 54.0, intensity 197
(2 2 0), 2θ 63.2, intensity 188
(0 1 3), 2θ 25.4, intensity 183



No. 8
For Ba3NiSb2O9, a structure optimized by DFT (GGA+U) gives the theoretical powder X-ray diffraction pattern in this record (copper Kα).
Intensities are scaled so that the largest is 1000.

Structure:
a b c (Å): 5.8785 5.8785 14.5221
angles (deg): 90.00 90.00 120.00
Space group P6_3mc (No. 186)
Inequivalent atoms, fractional coordinates:
Ba 0.0000 0.0000 0.0000 [2 per cell]
Ba 0.3333 0.6667 0.1376 [2 per cell]
Ba 0.3333 0.6667 0.8344 [2 per cell]
Ni 0.3333 0.6667 0.5938 [2 per cell]
Sb 0.0000 0.0000 0.2424 [2 per cell]
Sb 0.3333 0.6667 0.4075 [2 per cell]
O 0.0228 0.5114 0.4905 [6 per cell]
O 0.1613 0.3225 0.6683 [6 per cell]
O 0.1648 0.3296 0.3284 [6 per cell]

Principal peaks in the range 10° ≤ 2θ ≤ 90°, most intense first:
(1 1 0), 2θ 30.4, intensity 1000
(1 0 4), 2θ 30.2, intensity 720
(2 0 4), 2θ 43.4, intensity 402
(2 1 4), 2θ 53.9, intensity 287
(1 0 3), 2θ 25.4, intensity 267
(3 0 0), 2θ 54.0, intensity 198
(2 2 0), 2θ 63.3, intensity 188
(2 0 3), 2θ 40.0, intensity 182